# 1
LiMn6O4F8: computed powder diffractogram (Cu Kα (λ = 1.5418 Å)), based on the GGA+U geometry in the Materials Project.
Lines closer than 0.1° are merged.

Main lines, low angle first (5 to 70 degrees two-theta):
h k l  d [Å]  2θ (°)  I (rel.)
1 1 1  3.645  24.42  100
-1 1 1  3.380  26.37  87
1 -1 2  2.696  33.23  24
0 0 3  2.672  33.54  45
0 2 -1  2.655  33.76  25
1 0 -3  2.314  38.92  17
1 1 4  1.855  49.12  30
1 3 0  1.836  49.66  18
2 2 2  1.822  50.05  18
-1 1 4  1.772  51.57  26
-2 2 2  1.690  54.28  14
0 2 -4  1.588  58.09  18

Atomic structure:
Lattice parameters (Å, degrees): 5.043 5.821 8.052 85.14 86.93 86.66
Space group P1 (No. 1)
One atom of each set of equivalent atoms:
Li  0.000  0.000  0.000 [1 per cell]
Mn  0.069  0.075  0.429 [1 per cell]
Mn  0.462  0.568  0.443 [1 per cell]
Mn  0.491  0.223  0.746 [1 per cell]
Mn  0.499  0.907  0.105 [1 per cell]
Mn  0.991  0.429  0.106 [1 per cell]
Mn  0.992  0.710  0.755 [1 per cell]
O  0.165  0.123  0.178 [1 per cell]
O  0.182  0.757  0.539 [1 per cell]
O  0.314  0.288  0.526 [1 per cell]
O  0.828  0.716  0.991 [1 per cell]
F  0.180  0.412  0.869 [1 per cell]
F  0.295  0.611  0.193 [1 per cell]
F  0.299  0.921  0.864 [1 per cell]
F  0.648  0.852  0.345 [1 per cell]
F  0.691  0.534  0.672 [1 per cell]
F  0.696  0.204  0.987 [1 per cell]
F  0.780  0.388  0.333 [1 per cell]
F  0.830  0.032  0.671 [1 per cell]

# 2
LiMn2O3F: computed powder diffractogram (Cu Kα (λ = 1.5418 Å)), based on the GGA+U geometry in the Materials Project.
Lines closer than 0.1° are merged.

Main lines, low angle first (5 to 70 degrees two-theta):
h k l  d [Å]  2θ (°)  I (rel.)
1 1 0  5.029  17.64  100
0 1 1  4.863  18.24  98
1 3 0  2.640  33.95  26
2 1 -1  2.601  34.48  20
2 1 1  2.588  34.66  20
1 1 2  2.517  35.67  24
0 4 0  2.194  41.15  43
2 0 -2  2.123  42.59  39
2 0 2  2.108  42.89  38
2 4 -2  1.525  60.71  23
2 4 2  1.520  60.95  23
0 0 4  1.461  63.71  13

Atomic structure:
Lattice parameters (Å, degrees): 6.137 8.774 5.842 90.00 90.39 90.00
Space group P2_1/c (No. 14)
One atom of each set of equivalent atoms:
Li  0.250  0.146  0.030 [4 per cell]
Mn  0.000  0.000  0.500 [2 per cell]
Mn  0.250  0.740  0.753 [4 per cell]
Mn  0.500  0.000  0.500 [2 per cell]
O  0.036  0.726  0.004 [4 per cell]
O  0.248  0.007  0.299 [4 per cell]
O  0.464  0.726  0.007 [4 per cell]
F  0.253  0.004  0.779 [4 per cell]

# 3
Li2Mn4OF8: computed powder diffractogram (Cu Kα (λ = 1.5418 Å)), based on the GGA+U geometry in the Materials Project.
Lines closer than 0.1° are merged.

Main lines, low angle first (5 to 70 degrees two-theta):
h k l  d [Å]  2θ (°)  I (rel.)
1 2 0  5.777  15.34  35
1 0 1  4.730  18.76  100
1 4 0  3.404  26.18  47
2 2 1  3.211  27.79  22
3 0 1  2.731  32.80  51
2 4 1  2.554  35.14  37
3 3 1  2.381  37.78  65
0 4 2  2.186  41.30  28
1 4 2  2.130  42.43  23
0 6 2  1.816  50.23  89
3 0 3  1.577  58.54  34
6 0 0  1.576  58.57  18

Atomic structure:
Lattice parameters (Å, degrees): 9.456 14.595 5.463 90.00 90.00 90.00
Space group P2_12_12 (No. 18)
One atom of each set of equivalent atoms:
Li  0.004  0.102  0.248 [4 per cell]
Li  0.024  0.597  0.267 [4 per cell]
Mn  0.160  0.937  0.762 [4 per cell]
Mn  0.166  0.738  0.769 [4 per cell]
Mn  0.169  0.441  0.771 [4 per cell]
Mn  0.174  0.241  0.765 [4 per cell]
O  0.194  0.841  0.047 [4 per cell]
F  0.000  0.000  0.969 [2 per cell]
F  0.000  0.500  0.569 [2 per cell]
F  0.004  0.340  0.912 [4 per cell]
F  0.005  0.833  0.605 [4 per cell]
F  0.149  0.503  0.119 [4 per cell]
F  0.149  0.995  0.413 [4 per cell]
F  0.161  0.165  0.092 [4 per cell]
F  0.166  0.673  0.427 [4 per cell]
F  0.174  0.342  0.454 [4 per cell]